This entry pairs a crystal structure of RbNiPO2 with its computed powder XRD pattern. Radiation: copper Kα. Structure: a structure optimized by DFT (PBE+U).

Structure:
```
data_RbNiPO2
_symmetry_space_group_name_H-M 'P 1'
_symmetry_Int_Tables_number 1
_symmetry_space_group_name_Hall 'P 1'
_cell_length_a 4.2387
_cell_length_b 4.2387
_cell_length_c 4.4194
_cell_angle_alpha 90.00
_cell_angle_beta 90.00
_cell_angle_gamma 90.00
loop_
_atom_site_label
_atom_site_type_symbol
_atom_site_fract_x
_atom_site_fract_y
_atom_site_fract_z
Rb1 Rb 0.0000 0.0000 0.0000
Ni1 Ni 0.5000 0.5000 0.5000
P1 P 0.5000 0.5000 0.0000
O1 O 0.0000 0.5000 0.5000
O2 O 0.5000 0.0000 0.5000
```

The 8 most intense peaks (2θ = 10–80°), by angle:
two_theta  d [Å]  I/Imax
29.2  3.059  100
29.8  2.997  72
36.2  2.481  27
40.8  2.210  31
42.7  2.119  54
51.4  1.779  31
52.5  1.742  38
60.5  1.530  35